1.
For NaMgBi2Se4, a cell relaxed with GGA-PBE gives the simulated XRD peak list in this record (a wavelength of 1.5418 Å).

Main lines, in order of rising 2θ (15° ≤ 2θ ≤ 90°):
23.24 deg, rel. 28, hkl 1 0 -2; 24.69 deg, rel. 34, hkl 0 1 1; 28.95 deg, rel. 49, hkl 2 0 -2; 30.38 deg, rel. 100, hkl 1 1 1; 33.11 deg, rel. 24, hkl 2 1 -1; 40.98 deg, rel. 45, hkl 1 1 -3; 43.46 deg, rel. 30, hkl 0 2 0; 43.57 deg, rel. 19, hkl 2 0 2; 43.89 deg, rel. 32, hkl 3 1 -1; 53.05 deg, rel. 18, hkl 2 2 -2

Crystal structure
Lattice parameters (Å, degrees): 7.143 4.166 7.780 90.00 112.16 90.00
Space group P2/m (No. 10)
One atom of each set of equivalent atoms:
Na 0.000 0.000 0.000 (multiplicity 1)
Mg 0.000 0.500 0.500 (multiplicity 1)
Bi 0.500 0.000 0.500 (multiplicity 1)
Bi 0.500 0.500 0.000 (multiplicity 1)
Se 0.217 0.500 0.284 (multiplicity 2)
Se 0.259 0.000 0.737 (multiplicity 2)

***

2.
For Tb5CeIr6, a cell relaxed with GGA-PBE gives the simulated XRD peak list in this record (a wavelength of 1.5418 Å).

Main lines, in order of rising 2θ (15° ≤ 2θ ≤ 90°):
36.54 deg, rel. 100, hkl 1 3 2; 37.33 deg, rel. 47, hkl 2 0 0; 51.42 deg, rel. 10, hkl 0 0 4; 53.83 deg, rel. 17, hkl 2 6 0; 65.25 deg, rel. 19, hkl 2 0 4; 66.76 deg, rel. 17, hkl 3 3 2; 66.87 deg, rel. 17, hkl 1 9 2; 77.66 deg, rel. 11, hkl 2 6 4; 79.50 deg, rel. 3, hkl 4 0 0; 87.10 deg, rel. 9, hkl 1 3 6

Crystal structure
Lattice parameters (Å, degrees): 4.822 14.435 7.108 90.00 90.00 90.00
Space group Cmmm (No. 65)
One atom of each set of equivalent atoms:
Tb 0.000 0.000 0.000 (multiplicity 2)
Tb 0.000 0.332 0.500 (multiplicity 4)
Tb 0.000 0.333 0.000 (multiplicity 4)
Ce 0.000 0.000 0.500 (multiplicity 2)
Ir 0.000 0.164 0.251 (multiplicity 8)
Ir 0.000 0.500 0.254 (multiplicity 4)

***

3.
For Rb4NaAu, a cell relaxed with GGA-PBE gives the simulated XRD peak list in this record (a wavelength of 1.5418 Å).

Main lines, in order of rising 2θ (15° ≤ 2θ ≤ 90°):
17.33 deg, rel. 44, hkl 1 1 2; 22.68 deg, rel. 41, hkl 2 1 1; 25.00 deg, rel. 55, hkl 1 1 4; 27.06 deg, rel. 55, hkl 2 1 3; 28.03 deg, rel. 41, hkl 2 2 0; 28.72 deg, rel. 100, hkl 2 0 4; 31.42 deg, rel. 53, hkl 3 1 0; 33.14 deg, rel. 30, hkl 3 1 2; 47.80 deg, rel. 33, hkl 3 3 4; 56.35 deg, rel. 33, hkl 5 1 4

Crystal structure
Lattice parameters (Å, degrees): 9.004 9.004 17.192 90.00 90.00 90.00
Space group I4/mcm (No. 140)
One atom of each set of equivalent atoms:
Rb 0.184 0.316 0.142 (multiplicity 16)
Na 0.000 0.000 0.000 (multiplicity 4)
Au 0.000 0.000 0.250 (multiplicity 4)

***

4.
For NaCaGaAs2, a cell relaxed with GGA-PBE gives the simulated XRD peak list in this record (a wavelength of 1.5418 Å).

Main lines, in order of rising 2θ (15° ≤ 2θ ≤ 90°):
22.92 deg, rel. 63, hkl 0 0 2; 23.56 deg, rel. 75, hkl 1 1 -1; 24.81 deg, rel. 44, hkl 4 0 0; 27.34 deg, rel. 83, hkl 3 1 -1; 34.68 deg, rel. 37, hkl 0 0 3; 35.53 deg, rel. 100, hkl 5 1 -1; 38.38 deg, rel. 93, hkl 3 1 -3; 40.77 deg, rel. 34, hkl 4 0 2; 42.88 deg, rel. 60, hkl 0 2 0; 46.11 deg, rel. 37, hkl 7 1 -1

Crystal structure
Lattice parameters (Å, degrees): 15.802 4.218 8.542 90.00 114.72 90.00
Space group C2/m (No. 12)
One atom of each set of equivalent atoms:
Na 0.081 0.000 0.418 (multiplicity 4)
Ca 0.227 0.000 0.172 (multiplicity 4)
Ga 0.061 0.500 0.892 (multiplicity 4)
As 0.113 0.500 0.218 (multiplicity 4)
As 0.125 0.000 0.792 (multiplicity 4)